Y2HgO4: computed XRD peak list (CuKα), based on a cell relaxed with PBE.
Neutral-atom scattering factors, no anomalous dispersion.

Peak list (10 most intense, 10° ≤ 2θ ≤ 90°, in order of rising 2θ)
2θ 25.93, I 58
2θ 30.51, I 100
2θ 45.74, I 25
2θ 48.68, I 40
2θ 53.32, I 37
2θ 60.22, I 11
2θ 62.69, I 13
2θ 72.83, I 14
2θ 75.08, I 22
2θ 86.78, I 13

a b c (Å): 6.872 6.872 6.872
angles (deg): 60.00 60.00 60.00
Sites, in units of the cell vectors:
Y  0.000  0.000  0.000
Y  0.000  0.000  0.500
Y  0.000  0.500  0.000
Y  0.500  0.000  0.000
Hg  0.375  0.375  0.375
Hg  0.625  0.625  0.625
O  0.206  0.765  0.765
O  0.235  0.235  0.235
O  0.235  0.235  0.794
O  0.235  0.794  0.235
O  0.765  0.206  0.765
O  0.765  0.765  0.206
O  0.765  0.765  0.765
O  0.794  0.235  0.235